# CsMnMoO3F3
Calculated powder XRD pattern, CuKα. Input: the PBE+U geometry in Alexandria.
Peak positions follow from Bragg's law for the DFT cell and can differ from measured ones.

Most intense lines, 5 to 70 degrees two-theta, in order of rising 2θ:
2θ/deg, d/Å, I_rel
23.10, 3.850, 778
23.47, 3.790, 1000
24.25, 3.670, 342
25.69, 3.468, 875
26.04, 3.421, 269
26.72, 3.336, 462
28.08, 3.177, 338
28.92, 3.088, 500
29.67, 3.011, 287
29.77, 3.001, 325
43.94, 2.060, 237
45.49, 1.994, 237

```
CsMnMoO3F3
1.0
5.597 -4.923 0.000
5.597 4.923 0.000
-4.465 0.000 6.179
Cs Mn Mo O F
2 2 2 6 6
direct
0.140 0.860 0.500 Cs
0.860 0.140 0.000 Cs
0.623 0.633 0.901 Mn
0.633 0.623 0.401 Mn
0.115 0.554 0.875 Mo
0.554 0.115 0.375 Mo
0.059 0.295 0.741 O
0.295 0.059 0.241 O
0.326 0.639 0.871 O
0.639 0.326 0.371 O
0.689 0.939 0.485 O
0.939 0.689 0.985 O
0.300 0.560 0.169 F
0.550 0.726 0.657 F
0.560 0.300 0.669 F
0.619 0.951 0.119 F
0.726 0.550 0.157 F
0.951 0.619 0.619 F
```